Diffraction record for LaInHg2. The XRD peak list is computed, not measured: it uses the PBE geometry in OQMD and Cu Kα, 1.54184 Å.

Principal peaks in the range 10 to 90 degrees two-theta, in order of rising 2θ:
- 2.747 Å, intensity 100
- 2.738 Å, intensity 97
- 2.433 Å, intensity 70
- 2.271 Å, intensity 29
- 1.725 Å, intensity 13
- 1.660 Å, intensity 42
- 1.460 Å, intensity 29
- 1.455 Å, intensity 26
- 1.386 Å, intensity 23
- 1.374 Å, intensity 12

Structure:
a b c (Å): 9.083 6.901 6.862
angles (deg): 90.00 90.00 90.00
Sites, in units of the cell vectors:
La1 0.000 0.250 0.226
La2 0.000 0.750 0.774
La3 0.500 0.250 0.274
La4 0.500 0.750 0.726
In1 0.002 0.250 0.736
In2 0.498 0.750 0.236
In3 0.502 0.250 0.764
In4 0.998 0.750 0.264
Hg1 0.240 0.501 0.498
Hg2 0.240 0.999 0.498
Hg3 0.260 0.001 0.998
Hg4 0.260 0.499 0.998
Hg5 0.740 0.501 0.002
Hg6 0.740 0.999 0.002
Hg7 0.760 0.001 0.502
Hg8 0.760 0.499 0.502

=====

Diffraction record for LaInHg2. The XRD peak list is computed, not measured: it uses the PBE geometry in OQMD and Cu Kα, 1.54184 Å.

Principal peaks in the range 10 to 90 degrees two-theta, in order of rising 2θ:
- 4.308 Å, intensity 19
- 3.261 Å, intensity 12
- 2.633 Å, intensity 100
- 2.487 Å, intensity 89
- 2.158 Å, intensity 15
- 1.808 Å, intensity 35
- 1.551 Å, intensity 12
- 1.462 Å, intensity 34
- 1.436 Å, intensity 16
- 1.124 Å, intensity 15

Structure:
a b c (Å): 4.974 4.974 9.979
angles (deg): 90.00 90.00 120.00
Sites, in units of the cell vectors:
La1 0.333 0.667 0.250
La2 0.667 0.333 0.750
In1 0.000 0.000 0.000
In2 0.000 0.000 0.500
Hg1 0.333 0.667 0.597
Hg2 0.333 0.667 0.903
Hg3 0.667 0.333 0.097
Hg4 0.667 0.333 0.403

=====

Diffraction record for La3Mg3In2Hg. The XRD peak list is computed, not measured: it uses the PBE geometry in OQMD and Cu Kα, 1.54184 Å.

Principal peaks in the range 10 to 90 degrees two-theta, in order of rising 2θ:
- 3.919 Å, intensity 21
- 3.883 Å, intensity 31
- 3.362 Å, intensity 25
- 3.024 Å, intensity 39
- 2.758 Å, intensity 100
- 2.411 Å, intensity 25
- 2.249 Å, intensity 29
- 2.242 Å, intensity 23
- 1.642 Å, intensity 17
- 1.469 Å, intensity 27

Structure:
a b c (Å): 7.765 7.765 4.823
angles (deg): 90.00 90.00 120.00
Sites, in units of the cell vectors:
La1 0.000 0.420 0.000
La2 0.420 0.000 0.000
La3 0.580 0.580 0.000
Mg1 0.000 0.762 0.500
Mg2 0.238 0.238 0.500
Mg3 0.762 0.000 0.500
In1 0.333 0.667 0.500
In2 0.667 0.333 0.500
Hg1 0.000 0.000 0.000

=====

Diffraction record for Li6InHg. The XRD peak list is computed, not measured: it uses the PBE geometry in OQMD and Cu Kα, 1.54184 Å.

Principal peaks in the range 10 to 90 degrees two-theta, in order of rising 2θ:
- 5.017 Å, intensity 48
- 3.457 Å, intensity 100
- 2.897 Å, intensity 42
- 2.509 Å, intensity 11
- 2.385 Å, intensity 10
- 2.220 Å, intensity 39
- 2.154 Å, intensity 11
- 1.841 Å, intensity 22
- 1.762 Å, intensity 30
- 1.336 Å, intensity 12

Structure:
a b c (Å): 5.793 5.793 4.770
angles (deg): 90.00 90.00 120.00
Sites, in units of the cell vectors:
Li1 0.009 0.505 0.000
Li2 0.328 0.164 0.500
Li3 0.495 0.505 0.000
Li4 0.495 0.991 0.000
Li5 0.836 0.164 0.500
Li6 0.836 0.672 0.500
In1 0.333 0.667 0.500
Hg1 0.000 0.000 0.000

=====

Diffraction record for Li4MgIn2Hg. The XRD peak list is computed, not measured: it uses the PBE geometry in OQMD and Cu Kα, 1.54184 Å.

Principal peaks in the range 10 to 90 degrees two-theta, in order of rising 2θ:
- 6.733 Å, intensity 24
- 4.743 Å, intensity 24
- 3.878 Å, intensity 100
- 3.002 Å, intensity 17
- 2.745 Å, intensity 13
- 2.375 Å, intensity 99
- 2.029 Å, intensity 17
- 2.023 Å, intensity 34
- 1.542 Å, intensity 14
- 1.370 Å, intensity 23

Structure:
a b c (Å): 4.743 4.743 6.733
angles (deg): 90.00 90.00 90.00
Sites, in units of the cell vectors:
Li1 0.000 0.000 0.000
Li2 0.000 0.500 0.234
Li3 0.500 0.000 0.766
Li4 0.500 0.500 0.500
Mg1 0.000 0.000 0.500
In1 0.000 0.500 0.745
In2 0.500 0.000 0.255
Hg1 0.500 0.500 0.000

=====

Diffraction record for Li2ScIn2HgPt2. The XRD peak list is computed, not measured: it uses the PBE geometry in OQMD and Cu Kα, 1.54184 Å.

Principal peaks in the range 10 to 90 degrees two-theta, in order of rising 2θ:
- 3.806 Å, intensity 66
- 2.937 Å, intensity 10
- 2.342 Å, intensity 100
- 2.309 Å, intensity 49
- 2.015 Å, intensity 10
- 1.974 Å, intensity 23
- 1.633 Å, intensity 17
- 1.358 Å, intensity 16
- 1.339 Å, intensity 34
- 1.171 Å, intensity 10

Structure:
a b c (Å): 4.618 4.618 6.720
angles (deg): 90.00 90.00 90.00
Sites, in units of the cell vectors:
Li1 0.000 0.500 0.228
Li2 0.500 0.000 0.772
Sc1 0.000 0.000 0.500
In1 0.000 0.000 0.000
In2 0.500 0.500 0.500
Hg1 0.500 0.500 0.000
Pt1 0.000 0.500 0.730
Pt2 0.500 0.000 0.270

=====

Diffraction record for In2Hg2O5. The XRD peak list is computed, not measured: it uses the PBE geometry in OQMD and Cu Kα, 1.54184 Å.

Principal peaks in the range 10 to 90 degrees two-theta, in order of rising 2θ:
- 2.898 Å, intensity 100
- 2.832 Å, intensity 42
- 2.099 Å, intensity 10
- 2.003 Å, intensity 23
- 1.686 Å, intensity 24
- 1.647 Å, intensity 38
- 1.449 Å, intensity 13
- 1.321 Å, intensity 9
- 1.272 Å, intensity 8
- 1.103 Å, intensity 11

Structure:
a b c (Å): 4.005 4.005 8.395
angles (deg): 90.00 90.00 90.00
Sites, in units of the cell vectors:
In1 0.000 0.000 0.248
In2 0.000 0.000 0.752
Hg1 0.500 0.500 0.000
Hg2 0.500 0.500 0.500
O1 0.000 0.000 0.500
O2 0.000 0.500 0.173
O3 0.000 0.500 0.827
O4 0.500 0.000 0.173
O5 0.500 0.000 0.827

=====

Diffraction record for InHg3OsO4. The XRD peak list is computed, not measured: it uses the PBE geometry in OQMD and Cu Kα, 1.54184 Å.

Principal peaks in the range 10 to 90 degrees two-theta, in order of rising 2θ:
- 5.462 Å, intensity 49
- 3.153 Å, intensity 79
- 2.731 Å, intensity 100
- 2.443 Å, intensity 33
- 1.931 Å, intensity 96
- 1.821 Å, intensity 16
- 1.647 Å, intensity 36
- 1.577 Å, intensity 27
- 1.221 Å, intensity 37
- 1.115 Å, intensity 33

Structure:
a b c (Å): 5.462 5.462 5.462
angles (deg): 90.00 90.00 90.00
Sites, in units of the cell vectors:
In1 0.000 0.000 0.000
Hg1 0.000 0.500 0.500
Hg2 0.500 0.000 0.500
Hg3 0.500 0.500 0.000
Os1 0.500 0.500 0.500
O1 0.223 0.223 0.223
O2 0.223 0.777 0.777
O3 0.777 0.223 0.777
O4 0.777 0.777 0.223

=====

Diffraction record for InHgSO. The XRD peak list is computed, not measured: it uses the PBE geometry in OQMD and Cu Kα, 1.54184 Å.

Principal peaks in the range 10 to 90 degrees two-theta, in order of rising 2θ:
- 5.074 Å, intensity 24
- 3.593 Å, intensity 67
- 3.498 Å, intensity 100
- 2.598 Å, intensity 41
- 2.537 Å, intensity 23
- 2.513 Å, intensity 44
- 2.484 Å, intensity 17
- 2.332 Å, intensity 31
- 2.281 Å, intensity 19
- 1.991 Å, intensity 34

Structure:
a b c (Å): 5.631 5.636 11.875
angles (deg): 90.00 100.97 90.00
Sites, in units of the cell vectors:
In1 0.027 0.000 0.082
In2 0.461 0.987 0.917
In3 0.539 0.487 0.083
In4 0.973 0.500 0.918
Hg1 0.185 0.525 0.502
Hg2 0.423 0.782 0.317
Hg3 0.577 0.282 0.683
Hg4 0.815 0.025 0.498
S1 0.116 0.080 0.285
S2 0.300 0.980 0.714
S3 0.700 0.480 0.286
S4 0.884 0.580 0.715
O1 0.251 0.246 0.999
O2 0.253 0.744 0.008
O3 0.747 0.244 0.992
O4 0.749 0.746 0.001

=====

Diffraction record for InHg3Te4Pb. The XRD peak list is computed, not measured: it uses the PBE geometry in OQMD and Cu Kα, 1.54184 Å.

Principal peaks in the range 10 to 90 degrees two-theta, in order of rising 2θ:
- 7.094 Å, intensity 24
- 4.096 Å, intensity 60
- 3.173 Å, intensity 15
- 2.508 Å, intensity 100
- 2.139 Å, intensity 32
- 1.774 Å, intensity 18
- 1.628 Å, intensity 13
- 1.448 Å, intensity 37
- 1.254 Å, intensity 11
- 1.122 Å, intensity 17

Structure:
a b c (Å): 7.094 7.094 7.094
angles (deg): 90.00 90.00 90.00
Sites, in units of the cell vectors:
In1 0.000 0.000 0.000
Hg1 0.000 0.500 0.500
Hg2 0.500 0.000 0.500
Hg3 0.500 0.500 0.000
Te1 0.251 0.251 0.251
Te2 0.251 0.749 0.749
Te3 0.749 0.251 0.749
Te4 0.749 0.749 0.251
Pb1 0.500 0.500 0.500

=====

Diffraction record for In2HgSe2S2. The XRD peak list is computed, not measured: it uses the PBE geometry in OQMD and Cu Kα, 1.54184 Å.

Principal peaks in the range 10 to 90 degrees two-theta, in order of rising 2θ:
- 5.734 Å, intensity 21
- 5.234 Å, intensity 19
- 4.124 Å, intensity 24
- 3.408 Å, intensity 100
- 3.348 Å, intensity 82
- 3.211 Å, intensity 17
- 2.615 Å, intensity 17
- 2.119 Å, intensity 23
- 2.062 Å, intensity 58
- 2.053 Å, intensity 39

Structure:
a b c (Å): 7.063 7.063 5.884
angles (deg): 113.90 113.90 108.54
Sites, in units of the cell vectors:
In1 0.000 0.000 0.000
In2 0.757 0.243 0.500
Hg1 0.255 0.745 0.500
Se1 0.397 0.166 0.012
Se2 0.834 0.603 0.988
S1 0.137 0.360 0.511
S2 0.640 0.863 0.489

=====

Diffraction record for In2HgSe3S. The XRD peak list is computed, not measured: it uses the PBE geometry in OQMD and Cu Kα, 1.54184 Å.

Principal peaks in the range 10 to 90 degrees two-theta, in order of rising 2θ:
- 5.826 Å, intensity 11
- 5.291 Å, intensity 14
- 4.191 Å, intensity 12
- 3.456 Å, intensity 39
- 3.405 Å, intensity 100
- 2.124 Å, intensity 17
- 2.095 Å, intensity 49
- 2.077 Å, intensity 15
- 2.070 Å, intensity 15
- 1.793 Å, intensity 11

Structure:
a b c (Å): 5.954 5.982 7.161
angles (deg): 65.43 65.66 89.23
Sites, in units of the cell vectors:
In1 0.000 0.000 0.000
In2 0.244 0.752 0.493
Hg1 0.748 0.247 0.495
Se1 0.376 0.834 0.772
Se2 0.614 0.627 0.214
Se3 0.845 0.389 0.772
S1 0.139 0.128 0.234

=====

Diffraction record for In2Sn2Hg3S8. The XRD peak list is computed, not measured: it uses the PBE geometry in OQMD and Cu Kα, 1.54184 Å.

Principal peaks in the range 10 to 90 degrees two-theta, in order of rising 2θ:
- 6.929 Å, intensity 100
- 6.170 Å, intensity 49
- 3.950 Å, intensity 73
- 3.906 Å, intensity 99
- 3.853 Å, intensity 99
- 3.126 Å, intensity 85
- 2.840 Å, intensity 53
- 2.772 Å, intensity 55
- 2.503 Å, intensity 66
- 2.475 Å, intensity 48

Structure:
a b c (Å): 6.716 8.014 9.593
angles (deg): 109.83 91.87 111.06
Sites, in units of the cell vectors:
In1 0.127 0.486 0.243
In2 0.873 0.514 0.757
Sn1 0.248 0.159 0.764
Sn2 0.752 0.841 0.236
Hg1 0.359 0.093 0.388
Hg2 0.500 0.000 0.000
Hg3 0.641 0.907 0.612
S1 0.096 0.828 0.170
S2 0.230 0.839 0.626
S3 0.393 0.364 0.623
S4 0.482 0.296 0.009
S5 0.518 0.704 0.991
S6 0.607 0.636 0.377
S7 0.770 0.161 0.374
S8 0.904 0.172 0.830

=====

Diffraction record for In2HgTeS3. The XRD peak list is computed, not measured: it uses the PBE geometry in OQMD and Cu Kα, 1.54184 Å.

Principal peaks in the range 10 to 90 degrees two-theta, in order of rising 2θ:
- 5.817 Å, intensity 17
- 5.187 Å, intensity 23
- 4.114 Å, intensity 23
- 3.465 Å, intensity 51
- 3.449 Å, intensity 100
- 3.277 Å, intensity 25
- 3.192 Å, intensity 17
- 2.150 Å, intensity 22
- 2.133 Å, intensity 21
- 2.108 Å, intensity 21

Structure:
a b c (Å): 5.907 6.004 6.952
angles (deg): 112.29 112.24 92.44
Sites, in units of the cell vectors:
In1 0.000 0.000 0.000
In2 0.261 0.773 0.515
Hg1 0.505 0.505 0.006
Te1 0.862 0.361 0.311
S1 0.116 0.126 0.739
S2 0.372 0.891 0.248
S3 0.631 0.640 0.739